No. 1
# BaTl4Au4
Simulated powder X-ray diffraction pattern, λ = 1.5418 Å (Cu Kα). Input: a GGA-PBE-relaxed structure.

Main lines, by intensity (5 to 70 degrees two-theta):
37.3 deg, 2.410 Å, intensity 1000; 28.9 deg, 3.092 Å, intensity 471; 34.1 deg, 2.628 Å, intensity 461; 26.5 deg, 3.362 Å, intensity 409; 32.3 deg, 2.770 Å, intensity 313; 45.3 deg, 2.002 Å, intensity 282; 63.2 deg, 1.472 Å, intensity 219; 41.8 deg, 2.162 Å, intensity 180; 19.2 deg, 4.629 Å, intensity 178; 36.8 deg, 2.445 Å, intensity 135

Structural model:
a = 7.397 Å, b = 7.397 Å, c = 7.397 Å
α = 97.25°, β = 97.25°, γ = 138.38°
Atoms (fractional coordinates):
Ba  0.000  0.000  0.000
Tl  0.111  0.643  0.753
Tl  0.357  0.111  0.468
Tl  0.643  0.889  0.532
Tl  0.889  0.357  0.247
Au  0.300  0.411  0.711
Au  0.411  0.700  0.111
Au  0.589  0.300  0.889
Au  0.700  0.589  0.289

***

No. 2
# Ba2TlAu2
Simulated powder X-ray diffraction pattern, λ = 1.5418 Å (Cu Kα). Input: a GGA-PBE-relaxed structure.

Main lines, by intensity (5 to 70 degrees two-theta):
28.6 deg, 3.117 Å, intensity 1000; 33.3 deg, 2.690 Å, intensity 739; 29.9 deg, 2.992 Å, intensity 546; 32.6 deg, 2.749 Å, intensity 423; 38.8 deg, 2.323 Å, intensity 405; 54.3 deg, 1.690 Å, intensity 374; 39.4 deg, 2.287 Å, intensity 323; 58.1 deg, 1.587 Å, intensity 284; 49.7 deg, 1.835 Å, intensity 267; 41.6 deg, 2.173 Å, intensity 265

Structural model:
a = 8.569 Å, b = 8.569 Å, c = 4.347 Å
α = 90.00°, β = 90.00°, γ = 148.55°
Atoms (fractional coordinates):
Ba  0.130  0.870  0.000
Ba  0.870  0.130  0.000
Tl  0.500  0.500  0.500
Au  0.302  0.698  0.500
Au  0.698  0.302  0.500

***

No. 3
# BaTlAu
Simulated powder X-ray diffraction pattern, λ = 1.5418 Å (Cu Kα). Input: a GGA-PBE-relaxed structure.

Main lines, by intensity (5 to 70 degrees two-theta):
38.5 deg, 2.336 Å, intensity 1000; 30.9 deg, 2.891 Å, intensity 686; 31.5 deg, 2.836 Å, intensity 651; 28.4 deg, 3.145 Å, intensity 599; 31.2 deg, 2.864 Å, intensity 585; 28.9 deg, 3.091 Å, intensity 482; 28.6 deg, 3.117 Å, intensity 445; 33.1 deg, 2.706 Å, intensity 423; 37.8 deg, 2.381 Å, intensity 409; 34.4 deg, 2.608 Å, intensity 327

Structural model:
a = 8.502 Å, b = 4.674 Å, c = 14.273 Å
α = 90.00°, β = 91.00°, γ = 90.00°
Atoms (fractional coordinates):
Ba  0.033  0.250  0.371
Ba  0.163  0.250  0.079
Ba  0.454  0.750  0.710
Ba  0.546  0.250  0.290
Ba  0.837  0.750  0.921
Ba  0.967  0.750  0.629
Tl  0.127  0.250  0.803
Tl  0.353  0.750  0.460
Tl  0.495  0.750  0.086
Tl  0.505  0.250  0.914
Tl  0.647  0.250  0.540
Tl  0.873  0.750  0.197
Au  0.249  0.750  0.250
Au  0.252  0.250  0.582
Au  0.257  0.750  0.912
Au  0.743  0.250  0.088
Au  0.748  0.750  0.418
Au  0.751  0.250  0.750

***

No. 4
# Ba2Tl7Au
Simulated powder X-ray diffraction pattern, λ = 1.5418 Å (Cu Kα). Input: a GGA-PBE-relaxed structure.

Main lines, by intensity (5 to 70 degrees two-theta):
29.4 deg, 3.037 Å, intensity 1000; 34.0 deg, 2.637 Å, intensity 711; 29.9 deg, 2.984 Å, intensity 498; 34.6 deg, 2.592 Å, intensity 385; 38.2 deg, 2.358 Å, intensity 354; 28.5 deg, 3.129 Å, intensity 339; 30.2 deg, 2.957 Å, intensity 295; 49.3 deg, 1.849 Å, intensity 288; 29.1 deg, 3.065 Å, intensity 221; 32.3 deg, 2.769 Å, intensity 196

Structural model:
a = 22.287 Å, b = 5.275 Å, c = 10.854 Å
α = 90.00°, β = 90.00°, γ = 90.00°
Atoms (fractional coordinates):
Ba  0.046  0.250  0.243
Ba  0.211  0.250  0.989
Ba  0.289  0.750  0.489
Ba  0.454  0.750  0.743
Ba  0.546  0.250  0.257
Ba  0.711  0.250  0.511
Ba  0.789  0.750  0.011
Ba  0.954  0.750  0.757
Tl  0.044  0.250  0.588
Tl  0.052  0.250  0.886
Tl  0.089  0.750  0.030
Tl  0.108  0.750  0.460
Tl  0.143  0.750  0.754
Tl  0.195  0.250  0.627
Tl  0.210  0.250  0.329
Tl  0.290  0.750  0.829
Tl  0.305  0.750  0.127
Tl  0.357  0.250  0.254
Tl  0.392  0.250  0.960
Tl  0.411  0.250  0.530
Tl  0.448  0.750  0.386
Tl  0.456  0.750  0.088
Tl  0.544  0.250  0.912
Tl  0.552  0.250  0.614
Tl  0.589  0.750  0.470
Tl  0.608  0.750  0.040
Tl  0.643  0.750  0.746
Tl  0.695  0.250  0.873
Tl  0.710  0.250  0.171
Tl  0.790  0.750  0.671
Tl  0.805  0.750  0.373
Tl  0.857  0.250  0.246
Tl  0.892  0.250  0.540
Tl  0.911  0.250  0.970
Tl  0.948  0.750  0.114
Tl  0.956  0.750  0.412
Au  0.178  0.750  0.224
Au  0.322  0.250  0.724
Au  0.678  0.750  0.276
Au  0.822  0.250  0.776

***

No. 5
# Ba2WAu
Simulated powder X-ray diffraction pattern, λ = 1.5418 Å (Cu Kα). Input: a GGA-PBE-relaxed structure.

Main lines, by intensity (5 to 70 degrees two-theta):
34.8 deg, 2.575 Å, intensity 1000; 29.1 deg, 3.065 Å, intensity 909; 26.7 deg, 3.336 Å, intensity 851; 15.5 deg, 5.721 Å, intensity 457; 48.6 deg, 1.874 Å, intensity 445; 36.7 deg, 2.449 Å, intensity 442; 18.9 deg, 4.697 Å, intensity 421; 38.0 deg, 2.369 Å, intensity 354; 51.5 deg, 1.775 Å, intensity 337; 52.5 deg, 1.744 Å, intensity 279

Structural model:
a = 4.738 Å, b = 6.274 Å, c = 6.274 Å
α = 48.48°, β = 90.00°, γ = 90.00°
Atoms (fractional coordinates):
Ba  0.000  0.000  0.000
Ba  0.500  0.299  0.299
W  0.000  0.687  0.687
Au  0.500  0.602  0.602

***

No. 6
# BaYAu2
Simulated powder X-ray diffraction pattern, λ = 1.5418 Å (Cu Kα). Input: a GGA-PBE-relaxed structure.

Main lines, by intensity (5 to 70 degrees two-theta):
33.6 deg, 2.670 Å, intensity 1000; 32.9 deg, 2.721 Å, intensity 527; 59.2 deg, 1.561 Å, intensity 394; 47.2 deg, 1.924 Å, intensity 193; 60.4 deg, 1.532 Å, intensity 185; 23.1 deg, 3.848 Å, intensity 94; 49.2 deg, 1.854 Å, intensity 86; 69.0 deg, 1.361 Å, intensity 63; 41.1 deg, 2.194 Å, intensity 47; 24.0 deg, 3.707 Å, intensity 43

Structural model:
a = 5.443 Å, b = 5.443 Å, c = 3.707 Å
α = 90.00°, β = 90.00°, γ = 90.00°
Atoms (fractional coordinates):
Ba  0.000  0.000  0.000
Y  0.500  0.500  0.000
Au  0.000  0.500  0.500
Au  0.500  0.000  0.500

***

No. 7
# BaZn2Au2
Simulated powder X-ray diffraction pattern, λ = 1.5418 Å (Cu Kα). Input: a GGA-PBE-relaxed structure.

Main lines, by intensity (5 to 70 degrees two-theta):
31.6 deg, 2.828 Å, intensity 1000; 37.5 deg, 2.400 Å, intensity 978; 32.2 deg, 2.780 Å, intensity 738; 44.3 deg, 2.043 Å, intensity 487; 27.7 deg, 3.221 Å, intensity 426; 50.2 deg, 1.816 Å, intensity 422; 54.0 deg, 1.697 Å, intensity 335; 64.0 deg, 1.455 Å, intensity 264; 60.8 deg, 1.524 Å, intensity 209; 25.4 deg, 3.500 Å, intensity 203

Structural model:
a = 4.799 Å, b = 4.799 Å, c = 10.232 Å
α = 90.00°, β = 90.00°, γ = 90.00°
Atoms (fractional coordinates):
Ba  0.250  0.250  0.246
Ba  0.750  0.750  0.754
Zn  0.250  0.250  0.881
Zn  0.250  0.750  0.500
Zn  0.750  0.250  0.500
Zn  0.750  0.750  0.119
Au  0.250  0.250  0.621
Au  0.250  0.750  0.000
Au  0.750  0.250  0.000
Au  0.750  0.750  0.379

***

No. 8
# BaZn6Au12
Simulated powder X-ray diffraction pattern, λ = 1.5418 Å (Cu Kα). Input: a GGA-PBE-relaxed structure.

Main lines, by intensity (5 to 70 degrees two-theta):
33.2 deg, 2.701 Å, intensity 1000; 39.2 deg, 2.296 Å, intensity 575; 32.5 deg, 2.755 Å, intensity 553; 48.8 deg, 1.866 Å, intensity 437; 39.8 deg, 2.264 Å, intensity 359; 20.9 deg, 4.251 Å, intensity 303; 42.5 deg, 2.126 Å, intensity 250; 59.2 deg, 1.560 Å, intensity 199; 43.3 deg, 2.088 Å, intensity 165; 46.4 deg, 1.958 Å, intensity 137

Structural model:
a = 7.465 Å, b = 7.465 Å, c = 7.465 Å
α = 103.77°, β = 103.77°, γ = 103.77°
Atoms (fractional coordinates):
Ba  0.000  0.000  0.000
Zn  0.279  0.279  0.693
Zn  0.279  0.693  0.279
Zn  0.307  0.721  0.721
Zn  0.693  0.279  0.279
Zn  0.721  0.307  0.721
Zn  0.721  0.721  0.307
Au  0.118  0.500  0.882
Au  0.118  0.882  0.500
Au  0.134  0.391  0.391
Au  0.391  0.134  0.391
Au  0.391  0.391  0.134
Au  0.500  0.118  0.882
Au  0.500  0.882  0.118
Au  0.609  0.609  0.866
Au  0.609  0.866  0.609
Au  0.866  0.609  0.609
Au  0.882  0.118  0.500
Au  0.882  0.500  0.118